[1]
Diffraction record for Th4Mg. The powder XRD pattern is calculated, not measured: it uses a PBE-relaxed structure and a wavelength of 1.5418 Å.
Kinematic intensities with the Lorentz-polarization factor, no thermal factor.

Cell and atoms:
```
10
Lattice="0.0000 5.7299 5.7299 5.7299 0.0000 5.7299 5.7299 5.7299 0.0000" Properties=species:S:1:pos:R:3 pbc="T T T"
Th 8.8590 5.4657 5.4657
Th 2.6008 2.6008 2.6008
Th 5.9940 5.9940 2.6008
Th 5.9940 2.6008 5.9940
Th 5.4657 8.8590 5.4657
Th 5.4657 5.4657 8.8590
Th 8.8590 8.8590 8.8590
Th 2.6008 5.9940 5.9940
Mg 4.2974 4.2974 4.2974
Mg 7.1623 7.1623 7.1623
```

Top 12 peaks for 10 to 80 degrees two-theta, low angle first:
2θ/deg	I (rel.)
13.4	24
27.0	100
31.2	44
34.1	23
40.9	40
44.7	27
47.6	7
53.0	22
57.4	21
62.2	16
66.8	13
76.1	10


[2]
Diffraction record for ThMg3. The powder XRD pattern is calculated, not measured: it uses a PBE-relaxed structure and a wavelength of 1.5418 Å.
Kinematic intensities with the Lorentz-polarization factor, no thermal factor.

Cell and atoms:
```
8
Lattice="6.7849 0.0000 0.0000 -3.3924 5.8759 0.0000 0.0000 0.0000 5.2215" Properties=species:S:1:pos:R:3 pbc="T T T"
Th 0.0000 3.9172 1.3054
Th 3.3924 1.9586 3.9161
Mg 0.0000 1.8894 3.9161
Mg -1.7561 4.9311 3.9161
Mg 1.6363 0.9447 1.3054
Mg 1.7561 4.9311 3.9161
Mg 5.1486 0.9447 1.3054
Mg 3.3924 3.9864 1.3054
```

Top 12 peaks for 10 to 80 degrees two-theta, low angle first:
2θ/deg	I (rel.)
15.1	38
22.8	100
26.3	47
30.4	19
34.3	18
35.0	78
43.8	25
44.3	34
54.1	15
59.4	16
62.0	15
65.6	17